Calculated XRD peak list
Compound: Nd2MgBi2O8
Radiation: Cu Kα X-rays
Structure: a structure optimized by DFT (GGA-PBE)

The 10 most intense peaks (2θ from 5° to 70°), sorted by position:
Position (°2θ)  d [Å]  I/Imax
24.92  3.574  100
27.47  3.247  18
28.56  3.125  71
29.70  3.008  17
30.99  2.885  27
32.37  2.766  24
40.62  2.221  36
43.46  2.082  23
44.50  2.036  20
49.87  1.829  18

Structure:
a = 7.042 Å, b = 7.042 Å, c = 5.637 Å
α = 108.66°, β = 108.66°, γ = 117.35°
Positions (direct):
Nd 0.000 0.000 0.000
Nd 0.768 0.232 0.500
Mg 0.242 0.758 0.000
Bi 0.327 0.673 0.500
Bi 0.529 0.471 0.000
O 0.033 0.626 0.560
O 0.148 0.422 0.012
O 0.184 0.319 0.498
O 0.374 0.967 0.440
O 0.408 0.156 0.103
O 0.578 0.852 0.988
O 0.681 0.816 0.502
O 0.844 0.592 0.897

=====

Calculated XRD peak list
Compound: MgNiBi
Radiation: Cu Kα X-rays
Structure: a structure optimized by DFT (GGA-PBE)

The 8 most intense peaks (2θ from 5° to 70°), sorted by position:
Position (°2θ)  d [Å]  I/Imax
24.55  3.625  100
28.43  3.140  39
40.64  2.220  99
48.06  1.893  52
50.34  1.813  12
58.82  1.570  17
64.71  1.441  22
66.60  1.404  16

Structure:
a = 6.279 Å, b = 6.279 Å, c = 6.279 Å
α = 90.00°, β = 90.00°, γ = 90.00°
Positions (direct):
Mg 0.000 0.000 0.000
Mg 0.000 0.500 0.500
Mg 0.500 0.000 0.500
Mg 0.500 0.500 0.000
Ni 0.250 0.250 0.250
Ni 0.250 0.750 0.750
Ni 0.750 0.250 0.750
Ni 0.750 0.750 0.250
Bi 0.000 0.000 0.500
Bi 0.000 0.500 0.000
Bi 0.500 0.000 0.000
Bi 0.500 0.500 0.500

=====

Calculated XRD peak list
Compound: Mg6NiBi
Radiation: Cu Kα X-rays
Structure: a structure optimized by DFT (GGA-PBE)

The 10 most intense peaks (2θ from 5° to 70°), sorted by position:
Position (°2θ)  d [Å]  I/Imax
15.74  5.629  24
16.25  5.454  92
24.05  3.700  57
24.40  3.649  70
31.79  2.815  21
32.84  2.727  25
33.31  2.690  41
36.61  2.454  34
36.81  2.442  39
37.74  2.384  100

Structure:
a = 4.909 Å, b = 6.234 Å, c = 11.258 Å
α = 90.00°, β = 90.00°, γ = 90.00°
Positions (direct):
Mg 0.000 0.000 0.000
Mg 0.000 0.236 0.740
Mg 0.000 0.264 0.240
Mg 0.000 0.500 0.500
Mg 0.000 0.736 0.240
Mg 0.000 0.764 0.740
Mg 0.500 0.000 0.161
Mg 0.500 0.238 0.902
Mg 0.500 0.262 0.402
Mg 0.500 0.500 0.661
Mg 0.500 0.738 0.402
Mg 0.500 0.762 0.902
Ni 0.500 0.000 0.706
Ni 0.500 0.500 0.206
Bi 0.000 0.000 0.501
Bi 0.000 0.500 0.001

=====

Calculated XRD peak list
Compound: Mg14NiBi
Radiation: Cu Kα X-rays
Structure: a structure optimized by DFT (GGA-PBE)

The 10 most intense peaks (2θ from 5° to 70°), sorted by position:
Position (°2θ)  d [Å]  I/Imax
8.57  10.322  21
16.31  5.436  60
17.18  5.161  18
18.45  4.810  34
23.77  3.743  48
32.95  2.718  31
33.42  2.682  21
34.77  2.580  25
37.39  2.405  100
48.66  1.871  21

Structure:
a = 6.277 Å, b = 6.277 Å, c = 10.322 Å
α = 90.00°, β = 90.00°, γ = 120.00°
Positions (direct):
Mg 0.000 0.000 0.250
Mg 0.000 0.000 0.750
Mg 0.006 0.503 0.230
Mg 0.006 0.503 0.770
Mg 0.327 0.164 0.000
Mg 0.334 0.167 0.500
Mg 0.497 0.503 0.230
Mg 0.497 0.503 0.770
Mg 0.497 0.994 0.230
Mg 0.497 0.994 0.770
Mg 0.833 0.167 0.500
Mg 0.833 0.666 0.500
Mg 0.836 0.164 0.000
Mg 0.836 0.673 0.000
Ni 0.333 0.667 0.000
Bi 0.333 0.667 0.500